1.
For VOF, a structure optimized by DFT (PBE+U) gives the calculated XRD peak list in this record (a wavelength of 1.5418 Å).

Structural model:
```
24
Lattice="4.728 -6.257 0.000 4.728 6.257 0.000 -0.029 0.000 4.709" Properties=species:S:1:pos:R:3 pbc="T T T"
V 0.000 0.000 0.000
V 2.442 1.469 2.596
V 4.688 3.122 0.402
V 2.442 -1.469 2.596
V 4.894 0.000 0.516
V 7.179 1.674 2.596
V 4.688 -3.122 0.402
V 7.179 -1.674 2.596
O 3.804 4.644 4.065
O 3.303 3.036 1.750
O 1.505 0.000 3.526
O 3.404 0.000 1.681
O 5.738 1.633 1.247
O 3.303 -3.036 1.750
O 5.738 -1.633 1.247
O 3.804 -4.644 4.065
F 5.669 4.751 1.214
F 3.871 1.514 4.068
F 6.176 3.209 3.617
F 3.871 -1.514 4.068
F 6.220 0.000 3.561
F 8.104 0.000 1.673
F 6.176 -3.209 3.617
F 5.669 -4.751 1.214
```

Top 8 peaks for 15 to 90 degrees two-theta, sorted by position:
d/Å	two_theta	I_rel
3.347	26.63	100
3.326	26.80	98
2.608	34.39	97
2.286	39.43	25
1.754	52.15	31
1.749	52.29	58
1.745	52.43	28
1.408	66.42	24

2.
For MgMn4Zn2O8, a structure optimized by DFT (PBE+U) gives the calculated XRD peak list in this record (a wavelength of 1.5418 Å).

Structural model:
```
15
Lattice="-3.065 3.275 4.364 3.065 -3.275 4.364 3.065 3.275 -4.364" Properties=species:S:1:pos:R:3 pbc="T T T"
Mg 0.000 0.000 0.000
Mn 3.065 1.545 -0.852
Mn 0.000 3.275 0.701
Mn 0.000 1.730 3.513
Mn 0.000 0.000 6.006
Zn 1.743 0.000 1.912
Zn 4.386 0.000 1.912
O 3.065 1.331 1.089
O 0.000 1.338 1.541
O 1.685 3.275 -0.535
O 1.380 0.000 3.830
O -1.484 3.275 3.195
O 1.484 3.275 3.195
O 0.000 1.944 5.453
O 0.000 5.211 1.541
```

Top 8 peaks for 15 to 90 degrees two-theta, sorted by position:
d/Å	two_theta	I_rel
3.275	27.23	39
2.742	32.66	100
2.645	33.89	95
2.628	34.11	64
2.619	34.23	42
2.238	40.31	39
1.991	45.57	42
1.742	52.52	42

Q: What is the formula in the first record?
A: VOF

Q: Which formula does entry 1 have?
A: VOF